(1)
Theoretical X-ray powder pattern of Tb12Mg2Sc5 for Cu Kα, 1.54184 Å, from a structure optimized by DFT (GGA-PBE).

Top 10 peaks for 2θ from 5° to 70°, in order of rising 2θ:
d (Å)	two_theta	I_rel	index
4.415	20.11	19	3 1 0
3.946	22.53	19	3 1 -1
3.830	23.22	24	4 0 0
3.028	29.50	21	3 1 2
2.849	31.40	91	2 2 -2
2.728	32.83	59	1 3 -1
2.720	32.93	100	4 2 1
2.630	34.09	47	2 0 3
2.459	36.53	33	6 0 -1
1.514	61.23	17	10 0 -1

Structural model:
Cell: 15.325 8.796 8.468 Å, 90.00 91.23 90.00°
Space group C2/m (No. 12)
Unique sites:
Tb 0.058 0.000 0.269 [4 per cell]
Tb 0.109 0.200 0.613 [8 per cell]
Tb 0.143 0.500 0.876 [4 per cell]
Tb 0.180 0.302 0.228 [8 per cell]
Mg 0.000 0.249 0.000 [4 per cell]
Sc 0.000 0.500 0.500 [2 per cell]
Sc 0.156 0.000 0.939 [4 per cell]
Sc 0.238 0.500 0.560 [4 per cell]



(2)
Theoretical X-ray powder pattern of PrZn3As3 for Cu Kα, 1.54184 Å, from a structure optimized by DFT (GGA-PBE).

Top 10 peaks for 2θ from 5° to 70°, in order of rising 2θ:
d (Å)	two_theta	I_rel	index
3.440	25.90	100	2 2 0
2.976	30.03	92	4 1 1
2.729	32.82	36	5 1 1
2.569	34.92	37	8 0 0
2.498	35.95	96	6 2 0
2.110	42.87	81	0 3 1
2.103	43.00	33	0 0 2
1.936	46.93	37	9 2 0
1.718	53.31	20	4 2 2
1.630	56.44	29	8 3 1

Structural model:
Cell: 20.553 7.315 4.207 Å, 90.00 90.00 90.00°
Space group Ama2 (No. 40)
Unique sites:
Pr 0.000 0.000 0.000 [4 per cell]
Zn 0.130 0.168 0.492 [8 per cell]
Zn 0.250 0.308 0.112 [4 per cell]
As 0.089 0.334 0.996 [8 per cell]
As 0.250 0.139 0.619 [4 per cell]



(3)
Theoretical X-ray powder pattern of K7H12S for Cu Kα, 1.54184 Å, from a structure optimized by DFT (GGA-PBE).

Top 10 peaks for 2θ from 5° to 70°, in order of rising 2θ:
d (Å)	two_theta	I_rel	index
3.461	25.74	34	0 0 3
3.447	25.85	89	2 1 1
3.223	27.68	37	3 0 0
2.988	29.90	100	3 -2 2
2.942	30.38	18	1 1 3
2.170	41.62	16	3 2 1
2.116	42.72	32	2 1 4
2.110	42.86	20	1 4 0
1.801	50.70	16	2 4 1
1.724	53.14	16	6 -2 2

Structural model:
Cell: 11.1646 11.1646 10.3843 Å, 90.00 90.00 120.00°
Space group R-3 (No. 148, hexagonal axes)
Unique sites:
K 0.0000 0.0000 0.0000 [3 per cell]
K 0.0266 0.2670 0.6823 [18 per cell]
H 0.0124 0.1184 0.4175 [18 per cell]
H 0.0693 0.2433 0.1532 [18 per cell]
S 0.0000 0.0000 0.5000 [3 per cell]